[1]
For LaPdO4, a structure optimized by DFT (GGA-PBE) gives the calculated powder XRD pattern in this record (Cu Kα (λ = 1.5418 Å)).

Atomic structure:
abc: 6.362 6.362 6.362
angles: 35.36 35.36 35.36
Atoms (fractional coordinates):
La 0.000 0.000 0.000
Pd 0.500 0.500 0.500
O 0.157 0.157 0.157
O 0.388 0.388 0.388
O 0.612 0.612 0.612
O 0.843 0.843 0.843

Top 10 peaks for 15 to 90 degrees two-theta, sorted by position:
2θ/deg  Rel. int.
28.48  100.0
30.00  35.5
33.45  41.7
47.03  41.4
49.03  28.2
55.90  15.1
56.79  33.6
58.55  13.2
75.98  12.1
81.62  10.8

[2]
For BaAcRhI, a structure optimized by DFT (GGA-PBE) gives the calculated powder XRD pattern in this record (Cu Kα (λ = 1.5418 Å)).

Atomic structure:
abc: 4.422 4.422 26.409
angles: 90.00 90.00 120.00
Atoms (fractional coordinates):
Ba 0.000 0.000 0.000
Ba 0.333 0.667 0.667
Ba 0.667 0.333 0.333
Ac 0.000 0.000 0.795
Ac 0.333 0.667 0.462
Ac 0.667 0.333 0.129
Rh 0.000 0.000 0.408
Rh 0.333 0.667 0.075
Rh 0.667 0.333 0.741
I 0.000 0.000 0.230
I 0.333 0.667 0.896
I 0.667 0.333 0.563

Top 10 peaks for 15 to 90 degrees two-theta, sorted by position:
2θ/deg  Rel. int.
24.20  27.4
26.92  29.8
28.80  100.0
30.46  12.1
33.34  17.4
40.82  46.3
41.54  22.2
50.72  20.8
51.77  16.7
67.05  18.1

[3]
For Li2CeGaGe2, a structure optimized by DFT (GGA-PBE) gives the calculated powder XRD pattern in this record (Cu Kα (λ = 1.5418 Å)).

Atomic structure:
abc: 4.207 7.937 7.240
angles: 90.00 90.00 90.00
Atoms (fractional coordinates):
Li 0.000 0.070 0.000
Li 0.000 0.930 0.500
Li 0.500 0.162 0.326
Li 0.500 0.838 0.826
Ce 0.500 0.434 0.954
Ce 0.500 0.566 0.454
Ga 0.000 0.306 0.611
Ga 0.000 0.694 0.111
Ge 0.000 0.360 0.240
Ge 0.000 0.640 0.740
Ge 0.500 0.141 0.695
Ge 0.500 0.859 0.195

Top 10 peaks for 15 to 90 degrees two-theta, sorted by position:
2θ/deg  Rel. int.
25.60  29.4
26.96  46.4
30.98  25.7
32.63  27.7
33.44  77.6
34.59  100.0
40.27  37.6
42.25  26.9
43.00  35.5
43.91  25.2

[4]
For Sr3LiGe6, a structure optimized by DFT (GGA-PBE) gives the calculated powder XRD pattern in this record (Cu Kα (λ = 1.5418 Å)).

Atomic structure:
abc: 7.986 7.986 7.986
angles: 97.76 97.76 97.76
Atoms (fractional coordinates):
Sr 0.189 0.750 0.311
Sr 0.250 0.689 0.811
Sr 0.311 0.189 0.750
Sr 0.689 0.811 0.250
Sr 0.750 0.311 0.189
Sr 0.811 0.250 0.689
Li 0.000 0.000 0.000
Li 0.500 0.500 0.500
Ge 0.032 0.092 0.376
Ge 0.092 0.376 0.032
Ge 0.124 0.408 0.468
Ge 0.376 0.032 0.092
Ge 0.408 0.468 0.124
Ge 0.468 0.124 0.408
Ge 0.532 0.876 0.592
Ge 0.592 0.532 0.876
Ge 0.624 0.968 0.908
Ge 0.876 0.592 0.532
Ge 0.908 0.624 0.968
Ge 0.968 0.908 0.624

Top 10 peaks for 15 to 90 degrees two-theta, sorted by position:
2θ/deg  Rel. int.
25.65  25.7
27.06  21.1
31.47  25.2
31.88  97.9
34.55  100.0
34.91  60.6
46.09  32.7
51.16  26.8
63.39  18.0
66.55  24.0

[5]
For NaHo2MnSe4, a structure optimized by DFT (GGA-PBE) gives the calculated powder XRD pattern in this record (Cu Kα (λ = 1.5418 Å)).

Atomic structure:
abc: 5.705 5.705 11.447
angles: 90.00 90.00 90.00
Atoms (fractional coordinates):
Na 0.000 0.000 0.000
Na 0.500 0.500 0.500
Ho 0.000 0.000 0.500
Ho 0.000 0.500 0.250
Ho 0.500 0.000 0.750
Ho 0.500 0.500 0.000
Mn 0.000 0.500 0.750
Mn 0.500 0.000 0.250
Se 0.000 0.000 0.252
Se 0.000 0.000 0.748
Se 0.000 0.500 0.503
Se 0.000 0.500 0.997
Se 0.500 0.000 0.003
Se 0.500 0.000 0.497
Se 0.500 0.500 0.248
Se 0.500 0.500 0.752

Top 10 peaks for 15 to 90 degrees two-theta, sorted by position:
2θ/deg  Rel. int.
17.37  43.0
31.25  45.8
31.36  91.0
36.07  14.4
42.60  13.9
44.89  100.0
55.76  34.7
74.14  14.6
74.34  29.3
82.86  22.1

[6]
For BeZnAu2, a structure optimized by DFT (GGA-PBE) gives the calculated powder XRD pattern in this record (Cu Kα (λ = 1.5418 Å)).

Atomic structure:
abc: 3.185 7.202 5.310
angles: 90.00 90.00 90.00
Atoms (fractional coordinates):
Be 0.000 0.000 0.000
Be 0.500 0.500 0.500
Zn 0.000 0.500 0.132
Zn 0.500 0.000 0.632
Au 0.000 0.298 0.709
Au 0.000 0.702 0.709
Au 0.500 0.202 0.209
Au 0.500 0.798 0.209

Top 10 peaks for 15 to 90 degrees two-theta, sorted by position:
2θ/deg  Rel. int.
24.72  37.4
30.69  24.4
32.79  68.0
33.76  53.9
41.27  46.3
41.49  100.0
42.29  27.2
59.77  17.7
65.68  19.2
81.87  18.5